Diffraction record for CoAs2Br2O3. The X-ray diffraction stick pattern is simulated, not measured: it uses a DFT-relaxed cell (GGA+U, OQMD) and Cu Ka.
No peak broadening, texture or thermal motion is included.

Main lines, in order of rising 2θ (2θ from 10° to 80°):
11.96°, d = 7.398 Å, I = 521, hkl 0 1 0
26.46°, d = 3.368 Å, I = 479, hkl 0 1 -2
27.88°, d = 3.200 Å, I = 1000, hkl 1 1 2
31.23°, d = 2.864 Å, I = 984, hkl 1 0 -2
31.93°, d = 2.803 Å, I = 805, hkl 1 -2 0
34.15°, d = 2.626 Å, I = 229, hkl 0 2 -2
35.29°, d = 2.543 Å, I = 602, hkl 2 1 0
38.00°, d = 2.368 Å, I = 418, hkl 1 3 0

Structure:
```
CoAs2Br2O3
1.0
5.2553 0.0000 0.0000
1.1967 7.4020 0.0000
1.2937 0.2359 7.6892
Co As Br O
2 4 4 6
Cartesian
1.0154 3.7036 2.2308
6.7303 3.9343 5.4584
4.2281 5.3368 7.3991
3.9971 5.3331 4.1359
3.7487 2.3048 3.5533
3.5176 2.3011 0.2901
2.0583 1.6042 6.1680
1.8062 1.0330 2.4052
5.9395 6.6049 5.2840
5.6874 6.0337 1.5212
2.6052 3.7648 3.6147
2.1951 3.6131 0.6104
3.2948 4.9355 5.8385
4.4509 2.7024 1.8507
5.5506 4.0248 7.0788
5.1405 3.8731 4.0745
```